Starting from a DFT-relaxed cell (GGA-PBE, Alexandria), the powder X-ray diffraction pattern of Sb2TeI2 was simulated for copper Kα.
Intensities are scaled so that the largest is 100.

Most intense lines, 2θ from 10° to 80°, sorted by position:
10.89°, intensity 33; 26.57°, intensity 100; 27.79°, intensity 72; 29.38°, intensity 26; 35.03°, intensity 29; 38.83°, intensity 72

Cell and atoms:
a b c (Å): 10.2511 6.4209 13.3098
angles (deg): 90.00 90.00 90.00
Space group Pnma (No. 62)
Unique sites:
Sb  0.1170  0.2500  0.0604 (multiplicity 4)
Sb  0.1305  0.2500  0.7301 (multiplicity 4)
Te  0.2087  0.7500  0.3958 (multiplicity 4)
I  0.1259  0.7500  0.7046 (multiplicity 4)
I  0.1308  0.7500  0.0769 (multiplicity 4)



Starting from a DFT-relaxed cell (GGA-PBE, Alexandria), the powder X-ray diffraction pattern of Sb2Te2I was simulated for copper Kα.
Intensities are scaled so that the largest is 100.

Most intense lines, 2θ from 10° to 80°, sorted by position:
26.96°, intensity 100; 27.08°, intensity 65; 32.61°, intensity 88; 37.06°, intensity 34; 42.81°, intensity 57; 49.90°, intensity 44

Cell and atoms:
a b c (Å): 5.4914 5.4914 12.4284
angles (deg): 90.00 90.00 90.00
Space group I4/mmm (No. 139)
Unique sites:
Sb  0.0000  0.5000  0.2500 (multiplicity 4)
Te  0.0000  0.0000  0.1495 (multiplicity 4)
I  0.0000  0.0000  0.5000 (multiplicity 2)



Starting from a DFT-relaxed cell (GGA-PBE, Alexandria), the powder X-ray diffraction pattern of SbTeI2 was simulated for copper Kα.
Intensities are scaled so that the largest is 100.

Most intense lines, 2θ from 10° to 80°, sorted by position:
12.69°, intensity 33; 20.99°, intensity 38; 23.17°, intensity 100; 25.54°, intensity 92; 32.69°, intensity 41; 40.66°, intensity 39

Cell and atoms:
a b c (Å): 5.9573 15.0564 7.8700
angles (deg): 90.00 90.00 90.00
Space group Ima2 (No. 46)
Unique sites:
Sb  0.2500  0.1457  0.0000 (multiplicity 4)
Te  0.0000  0.0000  0.1803 (multiplicity 4)
I  0.2500  0.0936  0.6664 (multiplicity 4)
I  0.2500  0.7387  0.4423 (multiplicity 4)



Starting from a DFT-relaxed cell (GGA-PBE, Alexandria), the powder X-ray diffraction pattern of Tl4SbI6 was simulated for copper Kα.
Intensities are scaled so that the largest is 100.

Most intense lines, 2θ from 10° to 80°, sorted by position:
27.65°, intensity 100; 29.61°, intensity 49; 36.46°, intensity 14; 43.19°, intensity 16; 47.65°, intensity 17; 55.09°, intensity 17

Cell and atoms:
a b c (Å): 9.5404 9.5404 9.8580
angles (deg): 90.00 90.00 90.00
Space group P4/mnc (No. 128)
Unique sites:
Tl  0.1578  0.3422  0.2500 (multiplicity 8)
Sb  0.0000  0.0000  0.0000 (multiplicity 2)
I  0.0000  0.0000  0.3046 (multiplicity 4)
I  0.1332  0.6775  0.0000 (multiplicity 8)



Starting from a DFT-relaxed cell (GGA-PBE, Alexandria), the powder X-ray diffraction pattern of TlSbI5 was simulated for copper Kα.
Intensities are scaled so that the largest is 100.

Most intense lines, 2θ from 10° to 80°, sorted by position:
14.58°, intensity 100; 17.25°, intensity 69; 28.83°, intensity 86; 29.39°, intensity 82; 29.98°, intensity 48; 32.52°, intensity 47

Cell and atoms:
a b c (Å): 13.6203 9.2212 12.3876
angles (deg): 90.00 116.82 90.00
Space group C2/c (No. 15)
Unique sites:
Tl  0.0000  0.0890  0.2500 (multiplicity 4)
Sb  0.0000  0.5000  0.0000 (multiplicity 4)
I  0.0000  0.4591  0.2500 (multiplicity 4)
I  0.0149  0.1806  0.9894 (multiplicity 8)
I  0.2408  0.4876  0.6199 (multiplicity 8)



Starting from a DFT-relaxed cell (GGA-PBE, Alexandria), the powder X-ray diffraction pattern of Tm3SbI7 was simulated for copper Kα.
Intensities are scaled so that the largest is 100.

Most intense lines, 2θ from 10° to 80°, sorted by position:
12.38°, intensity 34; 26.45°, intensity 100; 34.35°, intensity 53; 40.90°, intensity 36; 44.82°, intensity 27; 70.29°, intensity 18

Cell and atoms:
a b c (Å): 8.8252 8.8252 7.1487
angles (deg): 90.00 90.00 120.00
Space group P3m1 (No. 156)
Unique sites:
Tm  0.0047  0.5024  0.0000 (multiplicity 3)
Sb  0.3333  0.6667  0.2259 (multiplicity 1)
I  0.1739  0.3478  0.7529 (multiplicity 3)
I  0.3424  0.1712  0.2257 (multiplicity 3)
I  0.6667  0.3333  0.7455 (multiplicity 1)



Starting from a DFT-relaxed cell (GGA-PBE, Alexandria), the powder X-ray diffraction pattern of Y2SbI was simulated for copper Kα.
Intensities are scaled so that the largest is 100.

Most intense lines, 2θ from 10° to 80°, sorted by position:
23.30°, intensity 3; 33.18°, intensity 100; 47.63°, intensity 18; 59.28°, intensity 36; 69.65°, intensity 11; 79.36°, intensity 15

Cell and atoms:
a b c (Å): 7.6365 7.6365 7.6365
angles (deg): 90.00 90.00 90.00
Space group Fm-3m (No. 225)
Unique sites:
Y  0.2500  0.2500  0.2500 (multiplicity 8)
Sb  0.0000  0.0000  0.0000 (multiplicity 4)
I  0.0000  0.0000  0.5000 (multiplicity 4)



Starting from a DFT-relaxed cell (GGA-PBE, Alexandria), the powder X-ray diffraction pattern of ScI was simulated for copper Kα.
Intensities are scaled so that the largest is 100.

Most intense lines, 2θ from 10° to 80°, sorted by position:
23.58°, intensity 91; 24.27°, intensity 50; 28.57°, intensity 42; 33.59°, intensity 36; 35.76°, intensity 100; 47.32°, intensity 29

Cell and atoms:
a b c (Å): 11.9332 11.9332 3.8535
angles (deg): 90.00 90.00 90.00
Space group P4/m (No. 83)
Unique sites:
Sc  0.0779  0.6079  0.0000 (multiplicity 4)
Sc  0.1283  0.3988  0.5000 (multiplicity 4)
I  0.0984  0.2128  0.0000 (multiplicity 4)
I  0.2743  0.5999  0.5000 (multiplicity 4)



Starting from a DFT-relaxed cell (GGA-PBE, Alexandria), the powder X-ray diffraction pattern of Sc3Se3I was simulated for copper Kα.
Intensities are scaled so that the largest is 100.

Most intense lines, 2θ from 10° to 80°, sorted by position:
28.10°, intensity 42; 32.56°, intensity 100; 46.72°, intensity 69; 55.41°, intensity 20; 58.10°, intensity 23; 77.65°, intensity 28

Cell and atoms:
a b c (Å): 10.9989 10.9989 10.9989
angles (deg): 90.00 90.00 90.00
Space group I-43m (No. 217)
Unique sites:
Sc  0.1122  0.3762  0.6238 (multiplicity 24)
Se  0.1249  0.1249  0.6326 (multiplicity 24)
I  0.1212  0.1212  0.1212 (multiplicity 8)



Starting from a DFT-relaxed cell (GGA-PBE, Alexandria), the powder X-ray diffraction pattern of ScTeI3 was simulated for copper Kα.
Intensities are scaled so that the largest is 100.

Most intense lines, 2θ from 10° to 80°, sorted by position:
26.79°, intensity 100; 31.03°, intensity 74; 44.46°, intensity 54; 52.67°, intensity 46; 55.21°, intensity 19; 73.48°, intensity 24

Cell and atoms:
a b c (Å): 5.7637 5.7637 5.7637
angles (deg): 90.00 90.00 90.00
Space group Pm-3m (No. 221)
Unique sites:
Sc  0.0000  0.0000  0.0000 (multiplicity 1)
Te  0.5000  0.5000  0.5000 (multiplicity 1)
I  0.0000  0.0000  0.5000 (multiplicity 3)